# 1
K2CoF4: simulated X-ray diffraction stick pattern (Cu Kα), based on the GGA+U geometry in the Materials Project.
Neutral-atom scattering factors, no anomalous dispersion.

Atomic structure:
abc: 4.125 4.125 13.218
angles: 90.00 90.00 90.00
Space group I4/mmm (No. 139)
Symmetry-distinct sites (fractional):
K 0.000 0.000 0.145 x4
Co 0.000 0.000 0.500 x2
F 0.000 0.000 0.346 x4
F 0.000 0.500 0.000 x4

Peak list (12 most intense, 10° ≤ 2θ ≤ 90°, in order of rising 2θ)
2θ/deg, intensity, index
13.4, 824, 0 0 2
22.6, 247, 1 0 1
29.7, 1000, 1 0 3
30.6, 991, 1 1 0
40.5, 279, 1 0 5
41.0, 373, 0 0 6
41.3, 227, 1 1 4
43.9, 799, 2 0 0
52.0, 245, 1 1 6
53.9, 345, 2 1 3
61.6, 366, 2 0 6
63.8, 217, 2 2 0

---

# 2
Li2Ti4NiP4O20: simulated X-ray diffraction stick pattern (Cu Kα), based on the GGA+U geometry in the Materials Project.
Neutral-atom scattering factors, no anomalous dispersion.

Atomic structure:
abc: 6.468 7.316 7.428
angles: 90.19 90.27 90.76
Space group P-1 (No. 2)
Symmetry-distinct sites (fractional):
Li 0.000 0.000 0.000 x1
Li 0.500 0.000 0.000 x1
Ti 0.236 0.774 0.660 x2
Ti 0.251 0.719 0.160 x2
Ni 0.500 0.500 0.500 x1
P 0.250 0.125 0.373 x2
P 0.254 0.369 0.872 x2
O 0.056 0.249 0.862 x2
O 0.058 0.247 0.371 x2
O 0.245 0.836 0.886 x2
O 0.248 0.486 0.045 x2
O 0.251 0.000 0.203 x2
O 0.251 0.010 0.546 x2
O 0.272 0.496 0.704 x2
O 0.279 0.656 0.384 x2
O 0.442 0.242 0.880 x2
O 0.442 0.254 0.369 x2

Peak list (12 most intense, 10° ≤ 2θ ≤ 90°, in order of rising 2θ)
2θ/deg, intensity, index
18.4, 330, 1 1 0
22.1, 138, 1 1 1
24.3, 110, 0 2 0
26.9, 1000, 0 1 -2
27.2, 302, 0 2 1
27.6, 480, 2 0 0
30.2, 111, -1 1 2
32.4, 148, 2 -1 1
38.9, 164, 2 -2 1
39.3, 170, 1 -3 0
57.0, 141, 4 0 0
57.4, 134, 3 3 0

---

What is the formula in the second record?
Li2Ti4NiP4O20